Computed powder X-ray diffraction pattern of Li4Cd4In5 for copper Kα, from the PBE geometry in Alexandria.
Peak positions follow from Bragg's law for the DFT cell and can differ from measured ones.

Main lines, in order of rising 2θ (5 to 70 degrees two-theta):
Position (°2θ), I_rel, h k l
15.73, 17.8, 2 0 0
21.58, 6.4, 1 0 1
22.31, 3.3, 2 2 0
24.99, 18.4, 3 1 0
26.82, 19.3, 2 1 1
31.24, 10.2, 3 0 1
35.16, 100.0, 2 3 1
40.82, 50.2, 0 0 2
48.44, 6.6, 3 1 2
53.64, 4.6, 1 6 1
56.26, 4.4, 5 4 1
59.10, 31.4, 5 1 2

Atomic structure:
Lattice parameters (Å, degrees): 11.2690 11.2690 4.4234 90.00 90.00 90.00
Space group I4/m (No. 87)
Asymmetric unit:
Li1 0.1469 0.2262 0.0000 x8
Cd1 0.0855 0.6162 0.0000 x8
In1 0.0000 0.0000 0.0000 x2
In2 0.0522 0.8005 0.5000 x8

***

Computed powder X-ray diffraction pattern of LiMg2CdIn for copper Kα, from the PBE geometry in Alexandria.
Peak positions follow from Bragg's law for the DFT cell and can differ from measured ones.

Main lines, in order of rising 2θ (5 to 70 degrees two-theta):
Position (°2θ), I_rel, h k l
14.51, 28.6, 2 0 -1
22.70, 100.0, 1 1 -1
23.30, 47.0, 2 0 1
26.14, 25.1, 1 1 1
27.59, 28.6, 4 0 0
32.55, 50.1, 3 1 -2
36.71, 87.8, 5 1 -1
36.82, 74.8, 1 1 2
38.55, 41.1, 0 2 0
38.68, 49.8, 4 0 -3
55.73, 31.3, 4 2 -3
68.59, 38.0, 9 1 -4

Atomic structure:
Lattice parameters (Å, degrees): 14.3847 4.6711 7.2119 90.00 115.97 90.00
Space group C2/m (No. 12)
Asymmetric unit:
Li1 0.0413 0.0000 0.2103 x4
Mg1 0.1719 0.5000 0.3925 x4
Mg2 0.2240 0.0000 0.1249 x4
Cd1 0.0797 0.5000 0.9231 x4
In1 0.1176 0.0000 0.6479 x4

***

Computed powder X-ray diffraction pattern of Li2Cd2InPb for copper Kα, from the PBE geometry in Alexandria.
Peak positions follow from Bragg's law for the DFT cell and can differ from measured ones.

Main lines, in order of rising 2θ (5 to 70 degrees two-theta):
Position (°2θ), I_rel, h k l
20.05, 40.8, 0 1 1
22.02, 67.1, 1 1 -1
25.76, 87.7, 2 0 -1
29.72, 27.2, 0 1 2
31.41, 41.2, 1 0 2
34.25, 44.0, 1 2 0
34.99, 46.4, 2 1 -2
35.29, 100.0, 1 2 -1
35.83, 38.9, 2 1 1
40.14, 30.2, 2 0 -3
41.41, 27.8, 2 2 0
50.25, 38.4, 0 2 3

Atomic structure:
Lattice parameters (Å, degrees): 7.0824 5.6704 7.3635 90.00 105.62 90.00
Space group P2_1/m (No. 11)
Asymmetric unit:
Li1 0.0334 0.2500 0.1623 x2
Li2 0.3790 0.7500 0.9344 x2
Cd1 0.4030 0.5016 0.2839 x4
In1 0.1606 0.7500 0.5296 x2
Pb1 0.2064 0.2500 0.8268 x2

***

Computed powder X-ray diffraction pattern of LiCd6InPb for copper Kα, from the PBE geometry in Alexandria.
Peak positions follow from Bragg's law for the DFT cell and can differ from measured ones.

Main lines, in order of rising 2θ (5 to 70 degrees two-theta):
Position (°2θ), I_rel, h k l
11.00, 58.9, 0 1 1
24.29, 57.0, 1 0 3
25.72, 28.0, 2 1 1
28.81, 100.0, 2 2 0
32.06, 56.4, 1 1 4
34.13, 74.1, 0 4 0
39.85, 42.9, 3 2 1
40.41, 31.5, 1 3 4
41.00, 60.5, 2 2 4
41.68, 28.7, 1 2 5
42.34, 26.1, 1 4 3
45.04, 31.3, 0 4 4

Atomic structure:
Lattice parameters (Å, degrees): 7.6753 10.5075 12.5085 90.00 90.00 90.00
Space group Imma (No. 74)
Asymmetric unit:
Li1 0.2500 0.2500 0.2500 x4
Cd1 0.0000 0.2500 0.0652 x4
Cd2 0.0000 0.2500 0.5867 x4
Cd3 0.1941 0.0085 0.1364 x16
In1 0.0000 0.0000 0.5000 x4
Pb1 0.0000 0.2500 0.8231 x4

***

Computed powder X-ray diffraction pattern of LiCdInPb for copper Kα, from the PBE geometry in Alexandria.
Peak positions follow from Bragg's law for the DFT cell and can differ from measured ones.

Main lines, in order of rising 2θ (5 to 70 degrees two-theta):
Position (°2θ), I_rel, h k l
19.57, 19.0, 0 1 0
20.56, 17.6, 1 0 0
26.72, 19.0, 0 1 1
27.47, 17.1, 1 0 1
33.95, 100.0, 1 1 1
36.51, 20.5, 0 0 2
39.73, 16.3, 0 2 0
41.80, 19.8, 2 0 0
55.05, 12.4, 0 2 2
56.70, 11.4, 2 0 2
64.09, 15.7, 1 1 3
68.43, 12.9, 1 3 1

Atomic structure:
Lattice parameters (Å, degrees): 4.3209 4.5372 4.9220 90.00 90.00 90.00
Space group Pmmm (No. 47)
Asymmetric unit:
Li1 0.0000 0.0000 0.0000 x1
Cd1 0.0000 0.5000 0.5000 x1
In1 0.5000 0.0000 0.5000 x1
Pb1 0.5000 0.5000 0.0000 x1

***

Computed powder X-ray diffraction pattern of Li2Sm3Cd4In2 for copper Kα, from the PBE geometry in Alexandria.
Peak positions follow from Bragg's law for the DFT cell and can differ from measured ones.

Main lines, in order of rising 2θ (5 to 70 degrees two-theta):
Position (°2θ), I_rel, h k l
6.35, 23.2, 0 0 2
21.98, 14.0, 1 0 3
25.47, 46.1, 1 0 5
30.94, 100.0, 1 1 4
35.22, 35.1, 1 0 9
38.36, 32.7, 1 1 8
40.13, 49.7, 2 0 0
48.14, 18.2, 2 1 5
54.44, 31.8, 1 1 14
57.06, 12.1, 2 0 12
58.06, 16.4, 2 2 0
67.24, 21.8, 3 1 4

Atomic structure:
Lattice parameters (Å, degrees): 4.4935 4.4935 27.8449 90.00 90.00 90.00
Space group I4/mmm (No. 139)
Asymmetric unit:
Li1 0.0000 0.0000 0.1721 x4
Sm1 0.0000 0.0000 0.2932 x4
Sm2 0.0000 0.0000 0.5000 x2
Cd1 0.0000 0.5000 0.1157 x8
In1 0.0000 0.0000 0.0492 x4

***

Computed powder X-ray diffraction pattern of SrLiCd2In for copper Kα, from the PBE geometry in Alexandria.
Peak positions follow from Bragg's law for the DFT cell and can differ from measured ones.

Main lines, in order of rising 2θ (5 to 70 degrees two-theta):
Position (°2θ), I_rel, h k l
20.60, 68.9, 1 0 1
27.59, 31.9, 1 1 0
28.41, 80.1, 1 0 3
30.90, 79.2, 1 1 2
39.39, 100.0, 2 0 0
39.94, 64.8, 1 0 5
44.88, 17.5, 2 1 1
49.30, 33.9, 2 1 3
56.97, 20.1, 2 2 0
57.37, 43.2, 2 1 5
66.23, 16.9, 3 1 2
68.25, 7.6, 1 0 9

Atomic structure:
Lattice parameters (Å, degrees): 4.5720 4.5720 12.9766 90.00 90.00 90.00
Space group I-4m2 (No. 119)
Asymmetric unit:
Sr1 0.0000 0.0000 0.0000 x2
Li1 0.0000 0.5000 0.7500 x2
Cd1 0.0000 0.0000 0.3900 x4
In1 0.0000 0.5000 0.2500 x2

***

Computed powder X-ray diffraction pattern of LiTh2Cd4In2 for copper Kα, from the PBE geometry in Alexandria.
Peak positions follow from Bragg's law for the DFT cell and can differ from measured ones.

Main lines, in order of rising 2θ (5 to 70 degrees two-theta):
Position (°2θ), I_rel, h k l
16.03, 3.6, 1 0 1
18.76, 5.7, 1 1 0
26.16, 7.5, 1 1 2
26.65, 3.8, 2 0 0
32.39, 100.0, 2 0 2
36.61, 18.0, 0 0 4
38.05, 32.5, 2 2 0
53.83, 22.1, 2 2 4
54.90, 10.5, 4 0 0
63.26, 12.5, 2 0 6
65.21, 23.3, 4 2 2
67.81, 10.3, 4 0 4

Atomic structure:
Lattice parameters (Å, degrees): 6.6890 6.6890 9.8189 90.00 90.00 90.00
Space group I4/mmm (No. 139)
Asymmetric unit:
Li1 0.0000 0.0000 0.0000 x2
Th1 0.0000 0.5000 0.2500 x4
Cd1 0.2287 0.2287 0.5000 x8
In1 0.0000 0.0000 0.2726 x4

***

Copy entry 4 word for word.
Computed powder X-ray diffraction pattern of LiCd6InPb for copper Kα, from the PBE geometry in Alexandria.
Peak positions follow from Bragg's law for the DFT cell and can differ from measured ones.

Main lines, in order of rising 2θ (5 to 70 degrees two-theta):
Position (°2θ), I_rel, h k l
11.00, 58.9, 0 1 1
24.29, 57.0, 1 0 3
25.72, 28.0, 2 1 1
28.81, 100.0, 2 2 0
32.06, 56.4, 1 1 4
34.13, 74.1, 0 4 0
39.85, 42.9, 3 2 1
40.41, 31.5, 1 3 4
41.00, 60.5, 2 2 4
41.68, 28.7, 1 2 5
42.34, 26.1, 1 4 3
45.04, 31.3, 0 4 4

Atomic structure:
Lattice parameters (Å, degrees): 7.6753 10.5075 12.5085 90.00 90.00 90.00
Space group Imma (No. 74)
Asymmetric unit:
Li1 0.2500 0.2500 0.2500 x4
Cd1 0.0000 0.2500 0.0652 x4
Cd2 0.0000 0.2500 0.5867 x4
Cd3 0.1941 0.0085 0.1364 x16
In1 0.0000 0.0000 0.5000 x4
Pb1 0.0000 0.2500 0.8231 x4

***

Please write out number 4 again, unchanged.
Computed powder X-ray diffraction pattern of LiCd6InPb for copper Kα, from the PBE geometry in Alexandria.
Peak positions follow from Bragg's law for the DFT cell and can differ from measured ones.

Main lines, in order of rising 2θ (5 to 70 degrees two-theta):
Position (°2θ), I_rel, h k l
11.00, 58.9, 0 1 1
24.29, 57.0, 1 0 3
25.72, 28.0, 2 1 1
28.81, 100.0, 2 2 0
32.06, 56.4, 1 1 4
34.13, 74.1, 0 4 0
39.85, 42.9, 3 2 1
40.41, 31.5, 1 3 4
41.00, 60.5, 2 2 4
41.68, 28.7, 1 2 5
42.34, 26.1, 1 4 3
45.04, 31.3, 0 4 4

Atomic structure:
Lattice parameters (Å, degrees): 7.6753 10.5075 12.5085 90.00 90.00 90.00
Space group Imma (No. 74)
Asymmetric unit:
Li1 0.2500 0.2500 0.2500 x4
Cd1 0.0000 0.2500 0.0652 x4
Cd2 0.0000 0.2500 0.5867 x4
Cd3 0.1941 0.0085 0.1364 x16
In1 0.0000 0.0000 0.5000 x4
Pb1 0.0000 0.2500 0.8231 x4